Record 1
Computed powder diffractogram
Compound: Li2VCr2O6
Radiation: λ = 1.5418 Å (Cu Kα)
Structure: a cell relaxed with PBE+U

The 10 most intense peaks (10 to 90 degrees two-theta), low angle first:
hkl 2 0 -1, 2θ 18.03, rel. 100.0
hkl 1 3 1, 2θ 35.34, rel. 23.4
hkl 4 0 1, 2θ 35.81, rel. 10.8
hkl 1 3 -2, 2θ 42.72, rel. 44.4
hkl 6 0 0, 2θ 43.32, rel. 20.9
hkl 0 0 3, 2θ 46.91, rel. 9.4
hkl 3 3 -3, 2θ 56.26, rel. 9.7
hkl 7 3 -2, 2θ 61.99, rel. 10.9
hkl 0 6 0, 2θ 62.18, rel. 6.1
hkl 5 3 2, 2θ 62.95, rel. 11.5

Cell and atoms:
abc: 12.946 8.958 6.003
angles: 90.00 104.53 90.00
Space group C2/m (No. 12)
Inequivalent atoms, fractional coordinates:
Li1 0.000 0.169 0.000 (multiplicity 4)
Li2 0.167 0.334 0.327 (multiplicity 8)
V1 0.000 0.164 0.500 (multiplicity 4)
V2 0.000 0.500 0.500 (multiplicity 2)
Cr1 0.165 0.000 0.836 (multiplicity 4)
Cr2 0.166 0.335 0.836 (multiplicity 8)
O1 0.003 0.329 0.722 (multiplicity 8)
O2 0.005 0.000 0.729 (multiplicity 4)
O3 0.150 0.500 0.588 (multiplicity 4)
O4 0.154 0.171 0.598 (multiplicity 8)
O5 0.173 0.172 0.060 (multiplicity 8)
O6 0.178 0.500 0.069 (multiplicity 4)

=====

Record 2
Computed powder diffractogram
Compound: Li4V3CrO8
Radiation: λ = 1.5418 Å (Cu Kα)
Structure: a cell relaxed with PBE+U

The 10 most intense peaks (10 to 90 degrees two-theta), low angle first:
hkl 1 0 0, 2θ 18.16, rel. 100.0
hkl 0 2 0, 2θ 34.80, rel. 14.2
hkl 0 1 -2, 2θ 35.07, rel. 13.3
hkl -1 1 2, 2θ 35.34, rel. 12.9
hkl 1 2 0, 2θ 42.21, rel. 30.1
hkl 1 -1 2, 2θ 42.71, rel. 28.8
hkl -2 1 2, 2θ 43.06, rel. 28.1
hkl 1 1 2, 2θ 46.62, rel. 8.5
hkl 0 3 -2, 2θ 61.44, rel. 8.2
hkl 2 1 2, 2θ 61.83, rel. 15.3

Cell and atoms:
abc: 5.162 5.225 5.971
angles: 90.43 106.50 98.82
Space group P-1 (No. 2)
Inequivalent atoms, fractional coordinates:
Li1 0.001 0.246 0.374 (multiplicity 2)
Li2 0.003 0.244 0.877 (multiplicity 2)
V1 0.499 0.500 0.249 (multiplicity 2)
V2 0.500 0.000 0.500 (multiplicity 1)
Cr1 0.500 0.000 0.000 (multiplicity 1)
O1 0.270 0.127 0.188 (multiplicity 2)
O2 0.271 0.122 0.694 (multiplicity 2)
O3 0.275 0.629 0.445 (multiplicity 2)
O4 0.278 0.631 0.945 (multiplicity 2)

=====

Record 3
Computed powder diffractogram
Compound: Li3V5Cr2O12
Radiation: λ = 1.5418 Å (Cu Kα)
Structure: a cell relaxed with PBE+U

The 10 most intense peaks (10 to 90 degrees two-theta), low angle first:
hkl 0 0 2, 2θ 18.22, rel. 50.7
hkl 0 2 0, 2θ 19.46, rel. 25.5
hkl 1 1 1, 2θ 23.68, rel. 39.0
hkl 1 1 -3, 2θ 31.15, rel. 12.9
hkl 1 3 1, 2θ 36.75, rel. 23.9
hkl 1 3 -3, 2θ 42.13, rel. 100.0
hkl 2 0 2, 2θ 43.92, rel. 45.4
hkl 2 0 -6, 2θ 61.30, rel. 13.0
hkl 3 3 -1, 2θ 62.41, rel. 25.2
hkl 1 3 5, 2θ 62.58, rel. 23.2

Cell and atoms:
abc: 5.122 9.123 9.954
angles: 90.00 101.93 90.00
Space group C2 (No. 5)
Inequivalent atoms, fractional coordinates:
Li1 0.000 0.000 0.000 (multiplicity 2)
Li2 0.238 0.842 0.237 (multiplicity 4)
V1 0.000 0.354 0.000 (multiplicity 2)
V2 0.000 0.498 0.500 (multiplicity 2)
V3 0.000 0.840 0.500 (multiplicity 2)
V4 0.242 0.164 0.236 (multiplicity 4)
Cr1 0.000 0.165 0.500 (multiplicity 2)
Cr2 0.000 0.674 0.000 (multiplicity 2)
O1 0.108 0.671 0.387 (multiplicity 4)
O2 0.113 0.197 0.883 (multiplicity 4)
O3 0.123 0.820 0.880 (multiplicity 4)
O4 0.124 0.320 0.387 (multiplicity 4)
O5 0.133 0.007 0.387 (multiplicity 4)
O6 0.136 0.518 0.883 (multiplicity 4)

=====

Record 4
Computed powder diffractogram
Compound: LiVCrO4
Radiation: λ = 1.5418 Å (Cu Kα)
Structure: a cell relaxed with PBE+U

The 10 most intense peaks (10 to 90 degrees two-theta), low angle first:
hkl 1 0 -1, 2θ 17.99, rel. 100.0
hkl 1 0 2, 2θ 35.11, rel. 21.5
hkl 0 2 -2, 2θ 36.03, rel. 11.0
hkl -1 2 2, 2θ 42.19, rel. 40.7
hkl 1 2 -3, 2θ 44.07, rel. 17.6
hkl 1 0 -4, 2θ 47.23, rel. 5.0
hkl -2 2 3, 2θ 55.59, rel. 4.9
hkl 1 2 3, 2θ 61.88, rel. 5.8
hkl 2 0 -5, 2θ 62.43, rel. 8.3
hkl 1 -2 4, 2θ 62.87, rel. 10.4

Cell and atoms:
abc: 5.267 5.916 7.791
angles: 98.85 108.76 91.78
Space group P1 (No. 1)
Inequivalent atoms, fractional coordinates:
Li1 0.000 0.000 0.000 (multiplicity 1)
Li2 0.330 0.334 0.334 (multiplicity 1)
Li3 0.660 0.677 0.662 (multiplicity 1)
V1 0.138 0.414 0.673 (multiplicity 1)
V2 0.521 0.257 0.994 (multiplicity 1)
V3 0.847 0.595 0.323 (multiplicity 1)
Cr1 0.176 0.919 0.660 (multiplicity 1)
Cr2 0.478 0.754 0.004 (multiplicity 1)
Cr3 0.815 0.090 0.338 (multiplicity 1)
O1 0.101 0.710 0.824 (multiplicity 1)
O2 0.122 0.204 0.825 (multiplicity 1)
O3 0.194 0.151 0.502 (multiplicity 1)
O4 0.223 0.616 0.512 (multiplicity 1)
O5 0.430 0.056 0.149 (multiplicity 1)
O6 0.466 0.521 0.166 (multiplicity 1)
O7 0.531 0.471 0.840 (multiplicity 1)
O8 0.560 0.965 0.845 (multiplicity 1)
O9 0.770 0.389 0.490 (multiplicity 1)
O10 0.794 0.856 0.495 (multiplicity 1)
O11 0.872 0.804 0.175 (multiplicity 1)
O12 0.891 0.296 0.171 (multiplicity 1)

=====

Record 5
Computed powder diffractogram
Compound: Li2VCr2O6
Radiation: λ = 1.5418 Å (Cu Kα)
Structure: a cell relaxed with PBE+U

The 10 most intense peaks (10 to 90 degrees two-theta), low angle first:
hkl 2 0 0, 2θ 17.36, rel. 100.0
hkl 0 2 0, 2θ 35.19, rel. 9.6
hkl 1 1 3, 2θ 35.92, rel. 27.9
hkl 2 1 3, 2θ 39.13, rel. 10.1
hkl 2 2 0, 2θ 39.53, rel. 14.4
hkl 3 1 3, 2θ 44.05, rel. 32.0
hkl 4 2 0, 2θ 50.60, rel. 13.4
hkl 5 1 3, 2θ 57.55, rel. 17.1
hkl 1 3 3, 2θ 63.67, rel. 15.2
hkl 2 0 6, 2θ 65.00, rel. 5.2

Cell and atoms:
abc: 10.217 5.095 8.970
angles: 90.00 90.00 90.00
Space group Aea2 (No. 41)
Inequivalent atoms, fractional coordinates:
Li1 0.250 0.101 0.000 (multiplicity 8)
V1 0.000 0.000 0.250 (multiplicity 4)
Cr1 0.000 0.000 0.584 (multiplicity 4)
Cr2 0.000 0.000 0.915 (multiplicity 4)
O1 0.097 0.314 0.250 (multiplicity 8)
O2 0.106 0.339 0.580 (multiplicity 8)
O3 0.107 0.338 0.920 (multiplicity 8)

=====

Record 6
Computed powder diffractogram
Compound: Li4V3CrO8
Radiation: λ = 1.5418 Å (Cu Kα)
Structure: a cell relaxed with PBE+U

The 10 most intense peaks (10 to 90 degrees two-theta), low angle first:
hkl 1 0 0, 2θ 18.14, rel. 100.0
hkl 0 1 3, 2θ 35.14, rel. 13.7
hkl 1 3 1, 2θ 35.19, rel. 26.8
hkl 2 0 0, 2θ 36.78, rel. 13.4
hkl 2 3 1, 2θ 42.73, rel. 87.3
hkl 2 2 -2, 2θ 46.77, rel. 12.7
hkl 3 3 1, 2θ 56.47, rel. 15.6
hkl 1 4 4, 2θ 62.01, rel. 39.0
hkl 2 4 4, 2θ 65.20, rel. 9.2
hkl 0 6 2, 2θ 78.23, rel. 10.4

Cell and atoms:
abc: 5.186 7.911 7.920
angles: 81.72 83.77 70.94
Space group P-1 (No. 2)
Inequivalent atoms, fractional coordinates:
Li1 0.000 0.000 0.000 (multiplicity 1)
Li2 0.000 0.124 0.624 (multiplicity 2)
Li3 0.000 0.500 0.500 (multiplicity 1)
Li4 0.001 0.749 0.752 (multiplicity 2)
Li5 0.002 0.624 0.123 (multiplicity 2)
V1 0.499 0.437 0.688 (multiplicity 2)
V2 0.499 0.938 0.188 (multiplicity 2)
V3 0.500 0.188 0.437 (multiplicity 2)
Cr1 0.500 0.314 0.062 (multiplicity 2)
O1 0.269 0.652 0.534 (multiplicity 2)
O2 0.270 0.029 0.405 (multiplicity 2)
O3 0.271 0.277 0.655 (multiplicity 2)
O4 0.273 0.402 0.278 (multiplicity 2)
O5 0.274 0.153 0.031 (multiplicity 2)
O6 0.274 0.526 0.908 (multiplicity 2)
O7 0.274 0.898 0.781 (multiplicity 2)
O8 0.275 0.776 0.155 (multiplicity 2)

=====

Record 7
Computed powder diffractogram
Compound: Li4V3CrO8
Radiation: λ = 1.5418 Å (Cu Kα)
Structure: a cell relaxed with PBE+U

The 10 most intense peaks (10 to 90 degrees two-theta), low angle first:
hkl 1 0 0, 2θ 18.19, rel. 100.0
hkl 0 2 -2, 2θ 35.11, rel. 13.7
hkl 1 3 1, 2θ 35.22, rel. 27.2
hkl 2 0 0, 2θ 36.82, rel. 13.5
hkl 1 -2 2, 2θ 42.69, rel. 29.5
hkl 2 3 1, 2θ 42.82, rel. 58.4
hkl 2 1 3, 2θ 46.84, rel. 12.9
hkl -2 1 3, 2θ 56.63, rel. 10.9
hkl 1 5 -1, 2θ 62.00, rel. 16.2
hkl 1 4 4, 2θ 62.14, rel. 31.1

Cell and atoms:
abc: 5.170 7.910 7.915
angles: 81.97 83.75 70.96
Space group P-1 (No. 2)
Inequivalent atoms, fractional coordinates:
Li1 0.000 0.063 0.310 (multiplicity 2)
Li2 0.000 0.313 0.562 (multiplicity 2)
Li3 0.002 0.185 0.939 (multiplicity 2)
Li4 0.002 0.436 0.187 (multiplicity 2)
V1 0.499 0.251 0.750 (multiplicity 2)
V2 0.500 0.000 0.500 (multiplicity 1)
V3 0.500 0.375 0.375 (multiplicity 2)
V4 0.500 0.500 0.000 (multiplicity 1)
Cr1 0.500 0.124 0.124 (multiplicity 2)
O1 0.267 0.467 0.592 (multiplicity 2)
O2 0.270 0.589 0.218 (multiplicity 2)
O3 0.270 0.839 0.468 (multiplicity 2)
O4 0.273 0.089 0.720 (multiplicity 2)
O5 0.273 0.337 0.968 (multiplicity 2)
O6 0.273 0.715 0.844 (multiplicity 2)
O7 0.274 0.212 0.341 (multiplicity 2)
O8 0.274 0.965 0.091 (multiplicity 2)

=====

Record 8
Computed powder diffractogram
Compound: Li4V3CrO8
Radiation: λ = 1.5418 Å (Cu Kα)
Structure: a cell relaxed with PBE+U

The 10 most intense peaks (10 to 90 degrees two-theta), low angle first:
hkl 0 0 3, 2θ 18.23, rel. 100.0
hkl 0 2 1, 2θ 35.13, rel. 40.8
hkl 2 0 2, 2θ 36.76, rel. 9.9
hkl 0 2 4, 2θ 42.76, rel. 87.5
hkl 2 0 5, 2θ 46.85, rel. 12.6
hkl 0 2 7, 2θ 56.63, rel. 13.9
hkl 2 2 0, 2θ 61.95, rel. 24.3
hkl 2 0 8, 2θ 62.20, rel. 22.8
hkl 2 2 3, 2θ 65.16, rel. 14.0
hkl 4 0 4, 2θ 78.20, rel. 10.7

Cell and atoms:
abc: 5.9918 5.9918 14.5958
angles: 90.00 90.00 120.00
Space group R-3m (No. 166, hexagonal axes)
Inequivalent atoms, fractional coordinates:
Li1 0.0000 0.0000 0.0000 (multiplicity 3)
Li2 0.0000 0.5000 0.0000 (multiplicity 9)
V1 0.0000 0.5000 0.5000 (multiplicity 9)
Cr1 0.0000 0.0000 0.5000 (multiplicity 3)
O1 0.0000 0.0000 0.2424 (multiplicity 6)
O2 0.0030 0.5015 0.2423 (multiplicity 18)